The following is a simulated powder diffraction line list of Hf4AlGa4. It was derived from a cell relaxed with PBE, using λ = 1.5418 Å (Cu Kα).
No peak broadening, texture or thermal motion is included.

Crystal structure
Unit cell a=7.352 b=5.409 c=10.518 alpha=90.00 beta=126.50 gamma=90.00
Space group P2/c (No. 13)
Symmetry-distinct sites (fractional):
Hf (0.173, 0.134, 0.201) [4 per cell]
Hf (0.265, 0.375, 0.916) [4 per cell]
Al (0.500, 0.482, 0.250) [2 per cell]
Ga (0.117, 0.348, 0.604) [4 per cell]
Ga (0.349, 0.113, 0.528) [4 per cell]

Top 6 peaks for 15° ≤ 2θ ≤ 90°, most intense first:
- hkl 2 2 -1, 42.2 deg, I = 1000
- hkl 3 0 -2, 37.2 deg, I = 987
- hkl 0 2 1, 34.8 deg, I = 981
- hkl 0 1 3, 35.9 deg, I = 930
- hkl 2 1 -4, 38.4 deg, I = 719
- hkl 2 0 0, 30.2 deg, I = 682



The following is a simulated powder diffraction line list of Sm3AlSi6Pd2. It was derived from a cell relaxed with PBE, using λ = 1.5418 Å (Cu Kα).
No peak broadening, texture or thermal motion is included.

Crystal structure
Unit cell a=5.7622 b=5.7622 c=8.2081 alpha=90.00 beta=90.00 gamma=120.00
Space group P-3m1 (No. 164)
Symmetry-distinct sites (fractional):
Sm (0.0000, 0.0000, 0.0000) [1 per cell]
Sm (0.3333, 0.6667, 0.6175) [2 per cell]
Al (0.0000, 0.0000, 0.5000) [1 per cell]
Si (0.1927, 0.3854, 0.2800) [6 per cell]
Pd (0.3333, 0.6667, 0.0288) [2 per cell]

Top 6 peaks for 15° ≤ 2θ ≤ 90°, most intense first:
- hkl 1 1 0, 31.0 deg, I = 1000
- hkl 0 1 2, 28.2 deg, I = 569
- hkl 1 1 2, 38.2 deg, I = 544
- hkl 1 1 3, 45.7 deg, I = 351
- hkl 2 0 2, 42.4 deg, I = 316
- hkl 0 2 1, 37.7 deg, I = 261



The following is a simulated powder diffraction line list of Ce3Al4Si6. It was derived from a cell relaxed with PBE, using λ = 1.5418 Å (Cu Kα).
No peak broadening, texture or thermal motion is included.

Crystal structure
Unit cell a=4.1633 b=4.1633 c=17.7454 alpha=90.00 beta=90.00 gamma=120.00
Space group P-3m1 (No. 164)
Symmetry-distinct sites (fractional):
Ce (0.0000, 0.0000, 0.0000) [1 per cell]
Ce (0.0000, 0.0000, 0.3906) [2 per cell]
Al (0.3333, 0.6667, 0.2470) [2 per cell]
Al (0.3333, 0.6667, 0.8596) [2 per cell]
Si (0.3333, 0.6667, 0.1022) [2 per cell]
Si (0.3333, 0.6667, 0.4974) [2 per cell]
Si (0.3333, 0.6667, 0.7153) [2 per cell]

Top 6 peaks for 15° ≤ 2θ ≤ 90°, most intense first:
- hkl 0 1 5, 35.5 deg, I = 1000
- hkl 0 1 3, 29.0 deg, I = 690
- hkl 1 1 0, 43.5 deg, I = 541
- hkl 0 1 2, 26.7 deg, I = 394
- hkl 1 0 0, 24.7 deg, I = 378
- hkl 2 0 5, 57.3 deg, I = 265